This entry pairs a crystal structure of MnMoO5 with its theoretical PXRD pattern. Radiation: Cu Kα, 1.54184 Å. Structure: a crystal structure in Alexandria, relaxed with GGA+U.
Lines closer than 0.1° are merged.

Principal peaks in the range 2θ from 10° to 90°, low angle first:
20.93°, I 100; 22.31°, I 25; 24.96°, I 72; 25.99°, I 24; 26.64°, I 47; 27.29°, I 46; 31.28°, I 18; 32.04°, I 22; 32.48°, I 19; 52.65°, I 17

Atomic structure:
abc: 5.648 5.676 6.965
angles: 87.68 73.93 79.84
Space group P-1 (No. 2)
Unique sites:
Mn (0.181, 0.301, 0.329) [2 per cell]
Mo (0.353, 0.278, 0.784) [2 per cell]
O (0.043, 0.894, 0.602) [2 per cell]
O (0.149, 0.381, 0.620) [2 per cell]
O (0.172, 0.284, 0.039) [2 per cell]
O (0.420, 0.531, 0.245) [2 per cell]
O (0.490, 0.019, 0.278) [2 per cell]